Record 1
Simulated powder X-ray diffraction pattern
Compound: Cs3KCd
Radiation: Cu Kα, 1.54184 Å
Structure: a DFT-relaxed cell (GGA-PBE, Alexandria)

Main lines, low angle first (2θ from 10° to 90°):
- 2θ 10.8, rel. 25.8
- 2θ 22.1, rel. 100.0
- 2θ 22.8, rel. 30.4
- 2θ 23.0, rel. 30.8
- 2θ 27.8, rel. 35.8
- 2θ 28.6, rel. 20.4
- 2θ 30.1, rel. 23.9
- 2θ 38.3, rel. 33.0
- 2θ 41.4, rel. 24.3
- 2θ 47.3, rel. 17.7

Cell and atoms:
```
data_Cs3KCd
_space_group_name_H-M_alt 'P 1'
_space_group_IT_number 1
_cell_length_a 16.382
_cell_length_b 16.382
_cell_length_c 5.934
_cell_angle_alpha 90.00
_cell_angle_beta 90.00
_cell_angle_gamma 90.00
loop_
_space_group_symop_operation_xyz
'x,y,z'
loop_
_atom_site_label
_atom_site_fract_x
_atom_site_fract_y
_atom_site_fract_z
Cs1 0.011 0.317 0.000
Cs2 0.105 0.895 0.500
Cs3 0.183 0.511 0.500
Cs4 0.317 0.011 0.000
Cs5 0.395 0.395 0.000
Cs6 0.489 0.817 0.500
Cs7 0.511 0.183 0.500
Cs8 0.605 0.605 0.000
Cs9 0.683 0.989 0.000
Cs10 0.817 0.489 0.500
Cs11 0.895 0.105 0.500
Cs12 0.989 0.683 0.000
K1 0.186 0.186 0.500
K2 0.314 0.686 0.000
K3 0.686 0.314 0.000
K4 0.814 0.814 0.500
Cd1 0.067 0.067 0.000
Cd2 0.433 0.567 0.500
Cd3 0.567 0.433 0.500
Cd4 0.933 0.933 0.000
```

=====

Record 2
Simulated powder X-ray diffraction pattern
Compound: Zr6Bi3P
Radiation: Cu Kα, 1.54184 Å
Structure: a DFT-relaxed cell (GGA-PBE, Alexandria)

Main lines, low angle first (2θ from 10° to 90°):
- 2θ 25.7, rel. 42.3
- 2θ 28.6, rel. 64.7
- 2θ 30.8, rel. 100.0
- 2θ 30.9, rel. 40.7
- 2θ 32.8, rel. 84.8
- 2θ 33.1, rel. 46.8
- 2θ 34.7, rel. 36.4
- 2θ 36.5, rel. 56.3
- 2θ 37.1, rel. 56.3
- 2θ 38.1, rel. 98.1

Cell and atoms:
```
data_Zr6Bi3P
_space_group_name_H-M_alt 'P 1'
_space_group_IT_number 1
_cell_length_a 6.630
_cell_length_b 7.587
_cell_length_c 11.699
_cell_angle_alpha 90.00
_cell_angle_beta 123.98
_cell_angle_gamma 90.00
loop_
_space_group_symop_operation_xyz
'x,y,z'
loop_
_atom_site_label
_atom_site_fract_x
_atom_site_fract_y
_atom_site_fract_z
Zr1 0.063 0.192 0.438
Zr2 0.063 0.308 0.938
Zr3 0.298 0.645 0.445
Zr4 0.298 0.855 0.945
Zr5 0.404 0.024 0.229
Zr6 0.404 0.476 0.729
Zr7 0.596 0.524 0.271
Zr8 0.596 0.976 0.771
Zr9 0.702 0.145 0.055
Zr10 0.702 0.355 0.555
Zr11 0.937 0.692 0.062
Zr12 0.937 0.808 0.562
Bi1 0.165 0.140 0.737
Bi2 0.165 0.360 0.237
Bi3 0.500 0.000 0.500
Bi4 0.500 0.500 0.000
Bi5 0.835 0.640 0.763
Bi6 0.835 0.860 0.263
P1 0.000 0.000 0.000
P2 0.000 0.500 0.500
```

=====

Record 3
Simulated powder X-ray diffraction pattern
Compound: Rb2Si2Tc
Radiation: Cu Kα, 1.54184 Å
Structure: a DFT-relaxed cell (GGA-PBE, Alexandria)

Main lines, low angle first (2θ from 10° to 90°):
- 2θ 28.8, rel. 76.5
- 2θ 29.6, rel. 43.4
- 2θ 32.4, rel. 100.0
- 2θ 37.8, rel. 22.8
- 2θ 38.6, rel. 30.8
- 2θ 54.2, rel. 25.2
- 2θ 56.7, rel. 21.4
- 2θ 63.3, rel. 18.8
- 2θ 64.9, rel. 25.9
- 2θ 82.6, rel. 25.0

Cell and atoms:
```
data_Rb2Si2Tc
_space_group_name_H-M_alt 'P 1'
_space_group_IT_number 1
_cell_length_a 12.290
_cell_length_b 12.290
_cell_length_c 12.290
_cell_angle_alpha 164.27
_cell_angle_beta 164.27
_cell_angle_gamma 22.32
loop_
_space_group_symop_operation_xyz
'x,y,z'
loop_
_atom_site_label
_atom_site_fract_x
_atom_site_fract_y
_atom_site_fract_z
Rb1 0.113 0.113 0.000
Rb2 0.887 0.887 0.000
Si1 0.250 0.750 0.500
Si2 0.750 0.250 0.500
Tc1 0.500 0.500 0.000
```

=====

Record 4
Simulated powder X-ray diffraction pattern
Compound: Dy4GaHgTe2
Radiation: Cu Kα, 1.54184 Å
Structure: a DFT-relaxed cell (GGA-PBE, Alexandria)

Main lines, low angle first (2θ from 10° to 90°):
- 2θ 29.4, rel. 100.0
- 2θ 40.4, rel. 42.4
- 2θ 43.8, rel. 34.0
- 2θ 47.7, rel. 8.6
- 2θ 53.6, rel. 12.5
- 2θ 61.1, rel. 12.5
- 2θ 66.7, rel. 12.5
- 2θ 70.9, rel. 7.7
- 2θ 71.7, rel. 10.4
- 2θ 78.1, rel. 12.2

Cell and atoms:
```
data_Dy4GaHgTe2
_space_group_name_H-M_alt 'P 1'
_space_group_IT_number 1
_cell_length_a 7.153
_cell_length_b 4.136
_cell_length_c 7.994
_cell_angle_alpha 90.00
_cell_angle_beta 107.33
_cell_angle_gamma 90.00
loop_
_space_group_symop_operation_xyz
'x,y,z'
loop_
_atom_site_label
_atom_site_fract_x
_atom_site_fract_y
_atom_site_fract_z
Dy1 0.239 0.000 0.238
Dy2 0.246 0.500 0.756
Dy3 0.754 0.500 0.244
Dy4 0.761 0.000 0.762
Ga1 0.000 0.500 0.000
Hg1 0.500 0.000 0.000
Te1 0.000 0.000 0.500
Te2 0.500 0.500 0.500
```

=====

Record 5
Simulated powder X-ray diffraction pattern
Compound: La12Y5Tm2
Radiation: Cu Kα, 1.54184 Å
Structure: a DFT-relaxed cell (GGA-PBE, Alexandria)

Main lines, low angle first (2θ from 10° to 90°):
- 2θ 30.1, rel. 100.0
- 2θ 33.8, rel. 19.8
- 2θ 33.9, rel. 18.9
- 2θ 37.0, rel. 12.9
- 2θ 48.6, rel. 12.9
- 2θ 51.0, rel. 10.4
- 2θ 51.1, rel. 9.1
- 2θ 58.2, rel. 15.3
- 2θ 58.4, rel. 12.5
- 2θ 62.7, rel. 9.8

Cell and atoms:
```
data_La12Y5Tm2
_space_group_name_H-M_alt 'P 1'
_space_group_IT_number 1
_cell_length_a 13.503
_cell_length_b 13.503
_cell_length_c 13.503
_cell_angle_alpha 157.33
_cell_angle_beta 133.91
_cell_angle_gamma 51.96
loop_
_space_group_symop_operation_xyz
'x,y,z'
loop_
_atom_site_label
_atom_site_fract_x
_atom_site_fract_y
_atom_site_fract_z
La1 0.049 0.805 0.244
La2 0.085 0.085 0.000
La3 0.150 0.408 0.742
La4 0.335 0.592 0.742
La5 0.398 0.898 0.500
La6 0.438 0.195 0.244
La7 0.562 0.805 0.756
La8 0.602 0.102 0.500
La9 0.665 0.408 0.258
La10 0.850 0.592 0.258
La11 0.915 0.915 0.000
La12 0.951 0.195 0.756
Y1 0.199 0.699 0.500
Y2 0.301 0.301 0.000
Y3 0.500 0.500 0.000
Y4 0.699 0.699 0.000
Y5 0.801 0.301 0.500
Tm1 0.282 0.000 0.282
Tm2 0.718 0.000 0.718
```

=====

Record 6
Simulated powder X-ray diffraction pattern
Compound: Mg4Tl3In2
Radiation: Cu Kα, 1.54184 Å
Structure: a DFT-relaxed cell (GGA-PBE, Alexandria)

Main lines, low angle first (2θ from 10° to 90°):
- 2θ 22.4, rel. 39.3
- 2θ 23.6, rel. 48.3
- 2θ 28.3, rel. 35.2
- 2θ 29.3, rel. 87.7
- 2θ 31.4, rel. 58.1
- 2θ 32.9, rel. 80.1
- 2θ 34.1, rel. 44.9
- 2θ 34.7, rel. 37.8
- 2θ 35.6, rel. 81.0
- 2θ 36.7, rel. 100.0

Cell and atoms:
```
data_Mg4Tl3In2
_space_group_name_H-M_alt 'P 1'
_space_group_IT_number 1
_cell_length_a 9.158
_cell_length_b 8.302
_cell_length_c 6.159
_cell_angle_alpha 90.00
_cell_angle_beta 98.35
_cell_angle_gamma 90.00
loop_
_space_group_symop_operation_xyz
'x,y,z'
loop_
_atom_site_label
_atom_site_fract_x
_atom_site_fract_y
_atom_site_fract_z
Mg1 0.158 0.038 0.430
Mg2 0.158 0.462 0.930
Mg3 0.337 0.731 0.255
Mg4 0.337 0.769 0.755
Mg5 0.663 0.231 0.245
Mg6 0.663 0.269 0.745
Mg7 0.842 0.538 0.070
Mg8 0.842 0.962 0.570
Tl1 0.322 0.116 0.974
Tl2 0.322 0.384 0.474
Tl3 0.500 0.000 0.500
Tl4 0.500 0.500 0.000
Tl5 0.678 0.616 0.526
Tl6 0.678 0.884 0.026
In1 0.045 0.681 0.477
In2 0.045 0.819 0.977
In3 0.955 0.181 0.023
In4 0.955 0.319 0.523
```

=====

Record 7
Simulated powder X-ray diffraction pattern
Compound: LiEuP4O12
Radiation: Cu Kα, 1.54184 Å
Structure: a DFT-relaxed cell (GGA-PBE, Alexandria)

Main lines, low angle first (2θ from 10° to 90°):
- 2θ 13.2, rel. 42.2
- 2θ 15.2, rel. 42.6
- 2θ 20.2, rel. 100.0
- 2θ 22.3, rel. 76.6
- 2θ 22.8, rel. 26.9
- 2θ 27.2, rel. 41.2
- 2θ 29.8, rel. 26.3
- 2θ 30.7, rel. 38.8
- 2θ 32.2, rel. 53.7
- 2θ 40.3, rel. 20.6

Cell and atoms:
```
data_LiEuP4O12
_space_group_name_H-M_alt 'P 1'
_space_group_IT_number 1
_cell_length_a 9.084
_cell_length_b 9.084
_cell_length_c 9.908
_cell_angle_alpha 123.04
_cell_angle_beta 123.04
_cell_angle_gamma 46.69
loop_
_space_group_symop_operation_xyz
'x,y,z'
loop_
_atom_site_label
_atom_site_fract_x
_atom_site_fract_y
_atom_site_fract_z
Li1 0.202 0.798 0.750
Li2 0.798 0.202 0.250
Eu1 0.303 0.697 0.250
Eu2 0.697 0.303 0.750
P1 0.081 0.195 0.161
P2 0.194 0.511 0.403
P3 0.195 0.081 0.661
P4 0.489 0.806 0.097
P5 0.511 0.194 0.903
P6 0.805 0.919 0.339
P7 0.806 0.489 0.597
P8 0.919 0.805 0.839
O1 0.039 0.279 0.587
O2 0.058 0.077 0.203
O3 0.077 0.058 0.703
O4 0.102 0.671 0.955
O5 0.158 0.332 0.340
O6 0.255 0.490 0.277
O7 0.279 0.039 0.087
O8 0.329 0.522 0.581
O9 0.329 0.898 0.545
O10 0.332 0.158 0.840
O11 0.478 0.671 0.919
O12 0.490 0.255 0.777
O13 0.510 0.745 0.223
O14 0.522 0.329 0.081
O15 0.668 0.842 0.160
O16 0.671 0.102 0.455
O17 0.671 0.478 0.419
O18 0.721 0.961 0.913
O19 0.745 0.510 0.723
O20 0.842 0.668 0.660
O21 0.898 0.329 0.045
O22 0.923 0.942 0.297
O23 0.942 0.923 0.797
O24 0.961 0.721 0.413
```

=====

Record 8
Simulated powder X-ray diffraction pattern
Compound: PrPdS
Radiation: Cu Kα, 1.54184 Å
Structure: a DFT-relaxed cell (GGA-PBE, Alexandria)

Main lines, low angle first (2θ from 10° to 90°):
- 2θ 24.1, rel. 20.8
- 2θ 33.4, rel. 100.0
- 2θ 42.5, rel. 41.1
- 2θ 46.3, rel. 10.6
- 2θ 52.9, rel. 5.3
- 2θ 55.1, rel. 23.6
- 2θ 64.6, rel. 23.1
- 2θ 71.9, rel. 21.0
- 2θ 77.5, rel. 8.5
- 2θ 77.7, rel. 6.8

Cell and atoms:
```
data_PrPdS
_space_group_name_H-M_alt 'P 1'
_space_group_IT_number 1
_cell_length_a 5.786
_cell_length_b 5.786
_cell_length_c 5.786
_cell_angle_alpha 79.13
_cell_angle_beta 79.13
_cell_angle_gamma 79.13
loop_
_space_group_symop_operation_xyz
'x,y,z'
loop_
_atom_site_label
_atom_site_fract_x
_atom_site_fract_y
_atom_site_fract_z
Pr1 0.166 0.500 0.834
Pr2 0.500 0.834 0.166
Pr3 0.834 0.166 0.500
Pd1 0.000 0.000 0.000
Pd2 0.334 0.334 0.334
Pd3 0.666 0.666 0.666
S1 0.000 0.667 0.333
S2 0.333 0.000 0.667
S3 0.667 0.333 0.000
```

=====

Record 9
Simulated powder X-ray diffraction pattern
Compound: Cu3HgF9
Radiation: Cu Kα, 1.54184 Å
Structure: a DFT-relaxed cell (GGA-PBE, Alexandria)

Main lines, low angle first (2θ from 10° to 90°):
- 2θ 10.9, rel. 96.9
- 2θ 16.1, rel. 39.2
- 2θ 21.9, rel. 47.3
- 2θ 25.0, rel. 42.5
- 2θ 25.7, rel. 53.9
- 2θ 26.2, rel. 47.4
- 2θ 28.9, rel. 100.0
- 2θ 30.2, rel. 35.6
- 2θ 31.7, rel. 72.1
- 2θ 58.6, rel. 43.7

Cell and atoms:
```
data_Cu3HgF9
_space_group_name_H-M_alt 'P 1'
_space_group_IT_number 1
_cell_length_a 5.513
_cell_length_b 7.495
_cell_length_c 8.177
_cell_angle_alpha 90.00
_cell_angle_beta 97.09
_cell_angle_gamma 90.00
loop_
_space_group_symop_operation_xyz
'x,y,z'
loop_
_atom_site_label
_atom_site_fract_x
_atom_site_fract_y
_atom_site_fract_z
Cu1 0.000 0.000 0.000
Cu2 0.000 0.500 0.000
Cu3 0.460 0.003 0.696
Cu4 0.460 0.497 0.696
Cu5 0.540 0.503 0.304
Cu6 0.540 0.997 0.304
Hg1 0.043 0.250 0.418
Hg2 0.957 0.750 0.582
F1 0.084 0.250 0.984
F2 0.141 0.555 0.796
F3 0.141 0.945 0.796
F4 0.257 0.544 0.484
F5 0.257 0.956 0.484
F6 0.315 0.549 0.121
F7 0.315 0.951 0.121
F8 0.347 0.250 0.663
F9 0.427 0.250 0.305
F10 0.573 0.750 0.695
F11 0.653 0.750 0.337
F12 0.685 0.049 0.879
F13 0.685 0.451 0.879
F14 0.743 0.044 0.516
F15 0.743 0.456 0.516
F16 0.859 0.055 0.204
F17 0.859 0.445 0.204
F18 0.916 0.750 0.016
```

=====

Record 10
Simulated powder X-ray diffraction pattern
Compound: Na2Ac3La2Tl4
Radiation: Cu Kα, 1.54184 Å
Structure: a DFT-relaxed cell (GGA-PBE, Alexandria)

Main lines, low angle first (2θ from 10° to 90°):
- 2θ 21.9, rel. 29.0
- 2θ 25.8, rel. 31.3
- 2θ 30.4, rel. 81.0
- 2θ 31.9, rel. 100.0
- 2θ 44.7, rel. 35.5
- 2θ 56.0, rel. 30.0
- 2θ 56.9, rel. 19.8
- 2θ 60.1, rel. 12.0
- 2θ 66.7, rel. 12.3
- 2θ 75.1, rel. 14.2

Cell and atoms:
```
data_Na2Ac3La2Tl4
_space_group_name_H-M_alt 'P 1'
_space_group_IT_number 1
_cell_length_a 5.608
_cell_length_b 5.608
_cell_length_c 14.741
_cell_angle_alpha 90.00
_cell_angle_beta 90.00
_cell_angle_gamma 120.00
loop_
_space_group_symop_operation_xyz
'x,y,z'
loop_
_atom_site_label
_atom_site_fract_x
_atom_site_fract_y
_atom_site_fract_z
Na1 0.333 0.667 0.068
Na2 0.667 0.333 0.932
Ac1 0.000 0.000 0.219
Ac2 0.000 0.000 0.500
Ac3 0.000 0.000 0.781
La1 0.333 0.667 0.627
La2 0.667 0.333 0.373
Tl1 0.333 0.667 0.371
Tl2 0.333 0.667 0.853
Tl3 0.667 0.333 0.147
Tl4 0.667 0.333 0.629
```

=====

Record 11
Simulated powder X-ray diffraction pattern
Compound: Sm2YCd4
Radiation: Cu Kα, 1.54184 Å
Structure: a DFT-relaxed cell (GGA-PBE, Alexandria)

Main lines, low angle first (2θ from 10° to 90°):
- 2θ 25.2, rel. 7.9
- 2θ 26.7, rel. 23.2
- 2θ 33.4, rel. 60.2
- 2θ 34.8, rel. 100.0
- 2θ 48.0, rel. 21.4
- 2θ 60.6, rel. 38.5
- 2θ 63.2, rel. 13.2
- 2θ 73.4, rel. 8.4
- 2θ 80.1, rel. 9.2
- 2θ 80.8, rel. 8.3

Cell and atoms:
```
data_Sm2YCd4
_space_group_name_H-M_alt 'P 1'
_space_group_IT_number 1
_cell_length_a 8.001
_cell_length_b 8.001
_cell_length_c 8.001
_cell_angle_alpha 140.87
_cell_angle_beta 140.87
_cell_angle_gamma 56.54
loop_
_space_group_symop_operation_xyz
'x,y,z'
loop_
_atom_site_label
_atom_site_fract_x
_atom_site_fract_y
_atom_site_fract_z
Sm1 0.240 0.240 0.000
Sm2 0.760 0.760 0.000
Y1 0.500 0.500 0.000
Cd1 0.112 0.612 0.500
Cd2 0.388 0.888 0.500
Cd3 0.612 0.112 0.500
Cd4 0.888 0.388 0.500
```

=====

Record 12
Simulated powder X-ray diffraction pattern
Compound: AcGa6Ni2
Radiation: Cu Kα, 1.54184 Å
Structure: a DFT-relaxed cell (GGA-PBE, Alexandria)

Main lines, low angle first (2θ from 10° to 90°):
- 2θ 25.2, rel. 94.9
- 2θ 30.6, rel. 63.3
- 2θ 33.4, rel. 26.4
- 2θ 40.0, rel. 29.7
- 2θ 43.8, rel. 100.0
- 2θ 51.2, rel. 15.0
- 2θ 54.3, rel. 12.3
- 2θ 60.8, rel. 38.3
- 2θ 63.6, rel. 13.6
- 2θ 80.4, rel. 21.9

Cell and atoms:
```
data_AcGa6Ni2
_space_group_name_H-M_alt 'P 1'
_space_group_IT_number 1
_cell_length_a 8.273
_cell_length_b 8.273
_cell_length_c 8.273
_cell_angle_alpha 60.00
_cell_angle_beta 60.00
_cell_angle_gamma 60.00
loop_
_space_group_symop_operation_xyz
'x,y,z'
loop_
_atom_site_label
_atom_site_fract_x
_atom_site_fract_y
_atom_site_fract_z
Ac1 0.125 0.125 0.125
Ac2 0.875 0.875 0.875
Ga1 0.154 0.154 0.596
Ga2 0.154 0.596 0.154
Ga3 0.154 0.596 0.596
Ga4 0.404 0.404 0.846
Ga5 0.404 0.846 0.404
Ga6 0.404 0.846 0.846
Ga7 0.596 0.154 0.154
Ga8 0.596 0.154 0.596
Ga9 0.596 0.596 0.154
Ga10 0.846 0.404 0.404
Ga11 0.846 0.404 0.846
Ga12 0.846 0.846 0.404
Ni1 0.000 0.500 0.500
Ni2 0.500 0.000 0.500
Ni3 0.500 0.500 0.000
Ni4 0.500 0.500 0.500
```